No. 1
Diffraction record for Fe3Br2O2. The powder diffractogram is theoretical, not measured: it uses a DFT-relaxed cell (PBE+U, Alexandria) and Cu Kα (weighted mean of Kα1 and Kα2).
Peak positions follow from Bragg's law for the DFT cell and can differ from measured ones.

Top 12 peaks for 2θ = 10–90°, most intense first:
two_theta  I (rel.)
34.11  100.0
29.67  85.9
37.95  78.9
38.12  77.0
24.56  76.1
29.18  74.4
43.10  66.4
47.25  62.4
33.19  49.7
48.34  35.3
27.43  32.5
27.33  30.8

Structure:
a b c (Å): 3.847 6.136 6.328
angles (deg): 115.05 107.64 90.24
Sites, in units of the cell vectors:
Fe 0.000 0.000 0.000
Fe 0.346 0.173 0.691
Fe 0.654 0.827 0.309
Br 0.394 0.646 0.791
Br 0.606 0.354 0.209
O 0.149 0.932 0.299
O 0.851 0.068 0.701

=====

No. 2
Diffraction record for FePbBrO2. The powder diffractogram is theoretical, not measured: it uses a DFT-relaxed cell (PBE+U, Alexandria) and Cu Kα (weighted mean of Kα1 and Kα2).
Peak positions follow from Bragg's law for the DFT cell and can differ from measured ones.

Top 12 peaks for 2θ = 10–90°, most intense first:
two_theta  I (rel.)
30.53  100.0
21.11  72.1
25.73  48.9
46.10  36.0
31.62  35.7
55.65  34.8
38.33  32.8
32.66  32.5
41.31  24.6
42.03  24.0
75.65  23.2
37.75  21.3

Structure:
a b c (Å): 7.151 7.151 5.483
angles (deg): 90.00 90.00 133.38
Sites, in units of the cell vectors:
Fe 0.012 0.988 0.750
Fe 0.988 0.012 0.250
Pb 0.379 0.621 0.750
Pb 0.621 0.379 0.250
Br 0.252 0.748 0.250
Br 0.748 0.252 0.750
O 0.226 0.226 0.000
O 0.226 0.226 0.500
O 0.774 0.774 0.000
O 0.774 0.774 0.500